[1]
KCd4Ag8: computed XRD peak list (Cu Kα (λ = 1.5418 Å)), based on a structure optimized by DFT (GGA-PBE).

Main lines, sorted by position (2θ = 10–90°):
2θ/deg	intensity
12.78	24
18.11	24
31.51	28
36.22	70
36.58	77
36.70	64
40.78	100
41.11	55
41.22	53
65.77	23
66.01	19
68.85	19

abc: 7.4998 7.4998 7.4998
angles: 98.46 98.46 134.90
Sites, in units of the cell vectors:
K: 0.0000 0.0000 0.0000
Cd: 0.0000 0.0000 0.5000
Cd: 0.0000 0.5000 0.0000
Cd: 0.5000 0.0000 0.0000
Cd: 0.5000 0.5000 0.5000
Ag: 0.0000 0.3546 0.3546
Ag: 0.0000 0.6454 0.6454
Ag: 0.2758 0.5000 0.7758
Ag: 0.3546 0.0000 0.3546
Ag: 0.5000 0.2758 0.7758
Ag: 0.5000 0.7242 0.2242
Ag: 0.6454 0.0000 0.6454
Ag: 0.7242 0.5000 0.2242

---

[2]
Si2GePt3: computed XRD peak list (Cu Kα (λ = 1.5418 Å)), based on a structure optimized by DFT (GGA-PBE).

Main lines, sorted by position (2θ = 10–90°):
2θ/deg	intensity
29.68	100
29.85	92
34.21	31
37.58	29
40.38	70
41.99	28
42.63	38
44.76	41
45.76	30
52.40	54
61.50	25
67.11	20

abc: 6.0566 3.4906 9.1449
angles: 90.00 101.15 90.00
Sites, in units of the cell vectors:
Si: 0.0058 0.2500 0.2131
Si: 0.2001 0.7500 0.4643
Si: 0.7999 0.2500 0.5357
Si: 0.9942 0.7500 0.7869
Ge: 0.4522 0.7500 0.1239
Ge: 0.5478 0.2500 0.8761
Pt: 0.1809 0.2500 0.9923
Pt: 0.1916 0.2500 0.6716
Pt: 0.4047 0.2500 0.3500
Pt: 0.5953 0.7500 0.6500
Pt: 0.8084 0.7500 0.3284
Pt: 0.8191 0.7500 0.0077

---

[3]
Na2Mg: computed XRD peak list (Cu Kα (λ = 1.5418 Å)), based on a structure optimized by DFT (GGA-PBE).

Main lines, sorted by position (2θ = 10–90°):
2θ/deg	intensity
28.77	8
31.46	100
32.44	65
34.15	20
38.87	16
45.82	20
54.37	15
56.01	15
56.64	18
64.87	21
65.67	8
82.49	8

abc: 9.8503 9.8503 3.3318
angles: 90.00 90.00 120.00
Sites, in units of the cell vectors:
Na: 0.0000 0.3089 0.0000
Na: 0.0000 0.6430 0.5000
Na: 0.3089 0.0000 0.0000
Na: 0.3570 0.3570 0.5000
Na: 0.6430 0.0000 0.5000
Na: 0.6911 0.6911 0.0000
Mg: 0.0000 0.0000 0.5000
Mg: 0.3333 0.6667 0.0000
Mg: 0.6667 0.3333 0.0000

---

[4]
ThP2N4: computed XRD peak list (Cu Kα (λ = 1.5418 Å)), based on a structure optimized by DFT (GGA-PBE).

Main lines, sorted by position (2θ = 10–90°):
2θ/deg	intensity
18.62	100
19.28	61
23.43	59
25.51	64
26.80	81
28.07	40
28.20	55
32.47	84
33.87	55
35.02	39
35.66	53
44.77	34

abc: 5.3987 5.3987 7.4464
angles: 115.41 115.41 69.06
Sites, in units of the cell vectors:
Th: 0.0000 0.0000 0.0000
Th: 0.7452 0.2548 0.5000
P: 0.2393 0.5735 0.6050
P: 0.3658 0.1476 0.8026
P: 0.4265 0.7607 0.3950
P: 0.8524 0.6342 0.1974
N: 0.0649 0.8671 0.2989
N: 0.1329 0.9351 0.7011
N: 0.1644 0.4548 0.7521
N: 0.5452 0.8356 0.2479
N: 0.5473 0.0057 0.6328
N: 0.5490 0.1512 0.0341
N: 0.8488 0.4510 0.9659
N: 0.9943 0.4527 0.3672